No. 1
Structure and calculated powder XRD pattern of HoErZn6 (a DFT-relaxed cell (GGA-PBE, OQMD); Cu Kα (weighted mean of Kα1 and Kα2)).

Structure:
Cell: 4.652 6.552 4.652 Å, 90.00 90.00 90.00°
Sites, in units of the cell vectors:
Ho 0.000 0.000 0.000
Er 0.500 0.500 0.491
Zn 0.000 0.251 0.501
Zn 0.000 0.500 0.999
Zn 0.000 0.749 0.501
Zn 0.500 0.000 0.492
Zn 0.500 0.251 0.991
Zn 0.500 0.749 0.991

Largest 8 diffraction maxima, by angle, 10 to 90 degrees two-theta:
two_theta  I_rel
23.5  14.4
38.8  100.0
45.8  5.1
55.9  11.2
56.2  5.5
70.1  22.1
70.3  11.0
83.3  6.9

---

No. 2
Structure and calculated powder XRD pattern of LaY2Ga2Pd4 (a DFT-relaxed cell (GGA-PBE, OQMD); Cu Kα (weighted mean of Kα1 and Kα2)).

Structure:
Cell: 5.564 5.564 8.624 Å, 96.29 96.29 46.29°
Sites, in units of the cell vectors:
La 0.000 0.000 0.000
Y 0.375 0.375 0.611
Y 0.625 0.625 0.389
Ga 0.321 0.321 0.224
Ga 0.679 0.679 0.776
Pd 0.086 0.086 0.633
Pd 0.280 0.280 0.909
Pd 0.720 0.720 0.091
Pd 0.914 0.914 0.367

Largest 8 diffraction maxima, by angle, 10 to 90 degrees two-theta:
two_theta  I_rel
24.9  28.1
33.5  71.4
34.2  34.5
37.9  63.4
38.1  29.5
39.6  100.0
41.3  61.4
41.4  27.4

---

No. 3
Structure and calculated powder XRD pattern of CsBe3ZnAs3 (a DFT-relaxed cell (GGA-PBE, OQMD); Cu Kα (weighted mean of Kα1 and Kα2)).

Structure:
Cell: 3.887 3.964 10.552 Å, 90.00 90.00 90.00°
Sites, in units of the cell vectors:
Cs 0.000 0.000 0.000
Be 0.000 0.500 0.347
Be 0.000 0.500 0.641
Be 0.500 0.000 0.345
Zn 0.500 0.000 0.632
As 0.000 0.000 0.478
As 0.500 0.500 0.233
As 0.500 0.500 0.763

Largest 8 diffraction maxima, by angle, 10 to 90 degrees two-theta:
two_theta  I_rel
28.2  93.2
28.5  100.0
32.3  38.4
34.0  25.8
45.8  19.7
47.6  62.8
54.8  31.3
55.5  27.2

---

No. 4
Structure and calculated powder XRD pattern of SrPaAs2 (a DFT-relaxed cell (GGA-PBE, OQMD); Cu Kα (weighted mean of Kα1 and Kα2)).

Structure:
Cell: 4.246 4.246 21.387 Å, 90.00 90.00 120.00°
Sites, in units of the cell vectors:
Sr 0.000 0.000 0.000
Sr 0.333 0.667 0.667
Sr 0.667 0.333 0.333
Pa 0.000 0.000 0.500
Pa 0.333 0.667 0.167
Pa 0.667 0.333 0.833
As 0.000 0.000 0.240
As 0.000 0.000 0.760
As 0.333 0.667 0.427
As 0.333 0.667 0.906
As 0.667 0.333 0.094
As 0.667 0.333 0.573

Largest 8 diffraction maxima, by angle, 10 to 90 degrees two-theta:
two_theta  I_rel
12.4  30.8
25.6  16.5
29.5  100.0
41.8  36.5
42.6  37.8
52.6  20.0
68.8  15.1
69.9  17.1